[1]
Theoretical X-ray diffraction stick pattern of BaCa2AcCd4 for Cu Kα, from a crystal structure in Alexandria, relaxed with GGA-PBE.

Atomic structure:
```
data_BaCa2AcCd4
_space_group_name_H-M_alt 'R -3 m'
_space_group_IT_number 166
_space_group_name_Hall '-R 3 2"'
_cell_length_a 5.6737
_cell_length_b 5.6737
_cell_length_c 27.8900
_cell_angle_alpha 90.00
_cell_angle_beta 90.00
_cell_angle_gamma 120.00
loop_
_atom_site_label
_atom_site_type_symbol
_atom_site_fract_x
_atom_site_fract_y
_atom_site_fract_z
_atom_site_occupancy
Ba1 Ba 0.0000 0.0000 0.0000 1
Ca1 Ca 0.0000 0.0000 0.2498 1
Ac1 Ac 0.0000 0.0000 0.5000 1
Cd1 Cd 0.0000 0.0000 0.1264 1
Cd2 Cd 0.0000 0.0000 0.3775 1
```

Top 12 peaks for 2θ from 5° to 70°, low angle first:
| two_theta | Rel. int. | hkl |
| --- | --- | --- |
| 9.51 | 3 | 0 0 3 |
| 19.14 | 19 | 0 1 2 |
| 31.50 | 100 | 1 1 0 |
| 37.12 | 12 | 1 0 10 |
| 45.15 | 18 | 2 0 8 |
| 49.41 | 3 | 0 2 10 |
| 49.51 | 3 | 1 2 2 |
| 55.97 | 9 | 1 0 16 |
| 56.13 | 28 | 3 0 0 |
| 59.85 | 3 | 2 1 10 |
| 65.68 | 6 | 0 2 16 |
| 65.85 | 6 | 2 2 0 |

=====

[2]
Theoretical X-ray diffraction stick pattern of Li3In6Sn for Cu Kα, from a crystal structure in Alexandria, relaxed with GGA-PBE.

Atomic structure:
```
data_Li3In6Sn
_space_group_name_H-M_alt 'P 1 21/m 1'
_space_group_IT_number 11
_cell_length_a 8.3566
_cell_length_b 5.4334
_cell_length_c 10.9017
_cell_angle_alpha 90.00
_cell_angle_beta 107.95
_cell_angle_gamma 90.00
loop_
_space_group_symop_operation_xyz
'x,y,z'
'-x,-y,-z'
'-x,y+1/2,-z'
'x,-y+1/2,z'
loop_
_atom_site_label
_atom_site_type_symbol
_atom_site_fract_x
_atom_site_fract_y
_atom_site_fract_z
_atom_site_occupancy
Li1 Li 0.0807 0.2500 0.2322 1
Li2 Li 0.3002 0.7500 0.3676 1
Li3 Li 0.3017 0.2500 0.0298 1
In1 In 0.0907 0.7500 0.0640 1
In2 In 0.0951 0.2500 0.7324 1
In3 In 0.3071 0.2500 0.5323 1
In4 In 0.3095 0.7500 0.8718 1
In5 In 0.4722 0.2500 0.3203 1
In6 In 0.4917 0.7500 0.1679 1
Sn1 Sn 0.1225 0.7500 0.5716 1
```

Top 12 peaks for 2θ from 5° to 70°, low angle first:
| two_theta | Rel. int. | hkl |
| --- | --- | --- |
| 11.75 | 14 | 1 0 -1 |
| 22.93 | 26 | 1 1 1 |
| 26.97 | 13 | 2 1 -1 |
| 32.33 | 15 | 2 0 2 |
| 32.87 | 17 | 1 0 -4 |
| 32.97 | 43 | 0 2 0 |
| 36.41 | 40 | 2 1 2 |
| 36.90 | 100 | 1 1 -4 |
| 46.86 | 17 | 2 2 2 |
| 58.00 | 14 | 1 0 6 |
| 61.48 | 21 | 1 3 -4 |
| 68.36 | 17 | 1 2 6 |

=====

[3]
Theoretical X-ray diffraction stick pattern of Pr2Sm3Th3 for Cu Kα, from a crystal structure in Alexandria, relaxed with GGA-PBE.

Atomic structure:
```
data_Pr2Sm3Th3
_space_group_name_H-M_alt 'P -6 2 m'
_space_group_IT_number 189
_space_group_name_Hall 'P -6 -2'
_cell_length_a 9.2637
_cell_length_b 9.2637
_cell_length_c 3.6522
_cell_angle_alpha 90.00
_cell_angle_beta 90.00
_cell_angle_gamma 120.00
loop_
_atom_site_label
_atom_site_type_symbol
_atom_site_fract_x
_atom_site_fract_y
_atom_site_fract_z
_atom_site_occupancy
Pr1 Pr 0.3333 0.6667 0.0000 1
Sm1 Sm 0.0000 0.3923 0.5000 1
Th1 Th 0.0000 0.7783 0.0000 1
```

Top 12 peaks for 2θ from 5° to 70°, low angle first:
| two_theta | Rel. int. | hkl |
| --- | --- | --- |
| 26.82 | 11 | 1 0 1 |
| 29.46 | 100 | 2 1 0 |
| 31.19 | 81 | 1 1 1 |
| 33.17 | 34 | 2 0 1 |
| 33.51 | 17 | 3 0 0 |
| 38.59 | 39 | 2 1 1 |
| 47.87 | 19 | 3 1 1 |
| 49.94 | 12 | 0 0 2 |
| 55.94 | 18 | 3 2 1 |
| 58.46 | 27 | 4 1 1 |
| 59.05 | 29 | 2 1 2 |
| 66.81 | 11 | 4 2 1 |